For MnH3C5NO6, a structure optimized by DFT (PBE+U) gives the simulated X-ray powder pattern in this record (Cu Kα).
Peak positions follow from Bragg's law for the DFT cell and can differ from measured ones.

Crystal structure
```
MnH3C5NO6
1.0
7.9992 0.0000 0.0000
3.9222 7.0215 0.0000
3.9674 2.2301 7.3859
Mn H C N O
2 6 10 2 12
direct
0.0000 0.0000 0.0000
0.4990 0.5013 0.4998
0.1483 0.3482 0.7529
0.2583 0.8453 0.2577
0.3487 0.7542 0.7542
0.6509 0.2468 0.2449
0.7465 0.1554 0.7420
0.8512 0.6567 0.2461
0.1680 0.2160 0.4182
0.2112 0.7556 0.7525
0.2572 0.7096 0.2559
0.2834 0.2123 0.7518
0.2888 0.3275 0.0802
0.6721 0.6857 0.9180
0.7147 0.7915 0.2464
0.7423 0.2928 0.7454
0.7801 0.8175 0.5807
0.7884 0.2450 0.2469
0.2319 0.2693 0.2491
0.7272 0.7514 0.7493
0.0401 0.8534 0.8456
0.1640 0.7213 0.1656
0.2237 0.6628 0.6605
0.2622 0.0435 0.8459
0.3533 0.5401 0.3494
0.4548 0.2261 0.6580
0.5443 0.7758 0.3392
0.6454 0.4610 0.6510
0.7349 0.9604 0.1512
0.7754 0.3374 0.3399
0.8298 0.2839 0.8392
0.9594 0.1482 0.1533
```

Largest 10 diffraction maxima, most intense first, 2θ = 5–70°:
Position (°2θ)	d/Å	I/Imax	hkl
15.0	5.902	100	1 1 0
20.6	4.316	33	1 1 2
30.4	2.945	18	2 2 0
20.3	4.381	17	0 1 -1
33.0	2.714	12	2 1 -1
25.3	3.515	11	2 1 2
21.9	4.059	10	1 -1 0
22.1	4.020	10	1 2 1
22.2	3.999	9	2 1 1
30.2	2.963	9	2 0 2